For Al4GaFe7, DFT lattice parameters and positions (PBE) gives the calculated powder diffraction line list in this record (a wavelength of 1.5418 Å).

Main lines, by angle (10 to 80 degrees two-theta):
d [Å]  2θ/deg  I_rel
3.551  25.1  8
3.409  26.1  5
3.354  26.6  15
2.075  43.6  98
2.050  44.2  100
1.599  57.6  5
1.458  63.8  29
1.203  79.7  14

Crystal structure
```
Al4GaFe7
1.0
4.100 0.000 0.000
-2.050 3.551 0.000
0.000 0.000 10.226
Al Ga Fe
4 1 7
direct
0.333 0.667 0.167
0.333 0.667 0.424
0.667 0.333 0.576
0.667 0.333 0.833
0.000 0.000 0.000
0.000 0.000 0.263
0.000 0.000 0.500
0.000 0.000 0.737
0.333 0.667 0.682
0.333 0.667 0.923
0.667 0.333 0.077
0.667 0.333 0.318
```

For BeHCl, DFT lattice parameters and positions (PBE) gives the calculated powder diffraction line list in this record (a wavelength of 1.5418 Å).

Main lines, by angle (10 to 80 degrees two-theta):
d [Å]  2θ/deg  I_rel
4.491  19.8  100
3.358  26.5  75
3.107  28.7  65
2.899  30.8  25
2.684  33.4  14
2.405  37.4  31
1.991  45.6  30
1.818  50.2  14

Crystal structure
```
BeHCl
1.0
4.304 0.000 0.000
0.000 5.369 2.472
0.000 -5.369 2.472
Be H Cl
2 2 2
direct
0.000 0.000 0.000
0.500 0.000 0.000
0.250 0.893 0.784
0.750 0.784 0.893
0.250 0.092 0.340
0.750 0.340 0.092
```

For Tm2V2Ni15, DFT lattice parameters and positions (PBE) gives the calculated powder diffraction line list in this record (a wavelength of 1.5418 Å).

Main lines, by angle (10 to 80 degrees two-theta):
d [Å]  2θ/deg  I_rel
2.898  30.9  38
2.380  37.8  37
2.321  38.8  21
2.061  43.9  50
2.055  44.1  100
2.037  44.5  30
1.839  49.6  17
1.302  72.6  17

Crystal structure
```
Tm2V2Ni15
1.0
4.123 2.380 4.073
-4.123 2.380 4.073
0.000 -4.761 4.073
Tm V Ni
2 2 15
direct
0.157 0.157 0.157
0.843 0.843 0.843
0.409 0.409 0.409
0.591 0.591 0.591
0.000 0.500 0.500
0.157 0.157 0.655
0.157 0.655 0.157
0.199 0.500 0.801
0.199 0.801 0.500
0.345 0.843 0.843
0.500 0.000 0.500
0.500 0.199 0.801
0.500 0.500 0.000
0.500 0.801 0.199
0.655 0.157 0.157
0.801 0.199 0.500
0.801 0.500 0.199
0.843 0.345 0.843
0.843 0.843 0.345
```

For Na2AgSbBr6, DFT lattice parameters and positions (PBE) gives the calculated powder diffraction line list in this record (a wavelength of 1.5418 Å).

Main lines, by angle (10 to 80 degrees two-theta):
d [Å]  2θ/deg  I_rel
5.377  16.5  68
3.916  22.7  17
3.226  27.7  100
2.689  33.3  26
2.462  36.5  69
2.135  42.3  46
1.891  48.1  28
1.613  57.1  15

Crystal structure
```
Na2AgSbBr6
1.0
7.392 0.000 0.000
3.696 6.406 0.000
0.002 4.266 6.600
Na Ag Sb Br
2 1 1 6
direct
0.000 0.000 0.000
0.492 0.015 0.477
0.296 0.408 0.888
0.803 0.393 0.411
0.066 0.250 0.176
0.187 0.233 0.678
0.426 0.507 0.176
0.580 0.510 0.678
0.684 0.890 0.177
0.910 0.903 0.678
```

For LaTlN, DFT lattice parameters and positions (PBE) gives the calculated powder diffraction line list in this record (a wavelength of 1.5418 Å).

Main lines, by angle (10 to 80 degrees two-theta):
d [Å]  2θ/deg  I_rel
3.907  22.8  29
3.197  27.9  42
3.039  29.4  100
3.027  29.5  67
2.659  33.7  27
2.480  36.2  27
2.394  37.6  30
1.680  54.6  36

Crystal structure
```
LaTlN
1.0
2.017 -7.863 0.000
2.017 7.863 0.000
0.000 0.000 4.788
La Tl N
2 2 2
direct
0.189 0.811 0.750
0.811 0.189 0.250
0.435 0.565 0.750
0.565 0.435 0.250
0.230 0.770 0.250
0.770 0.230 0.750
```

For In4PbI6, DFT lattice parameters and positions (PBE) gives the calculated powder diffraction line list in this record (a wavelength of 1.5418 Å).

Main lines, by angle (10 to 80 degrees two-theta):
d [Å]  2θ/deg  I_rel
6.919  12.8  16
3.302  27.0  19
3.244  27.5  100
3.223  27.7  22
2.953  30.3  65
2.576  34.8  19
2.073  43.7  20
1.941  46.8  23

Crystal structure
```
In4PbI6
1.0
9.338 0.000 0.000
0.000 9.338 0.000
0.000 0.000 10.302
In Pb I
8 2 12
direct
0.163 0.337 0.250
0.163 0.337 0.750
0.337 0.837 0.250
0.337 0.837 0.750
0.663 0.163 0.250
0.663 0.163 0.750
0.837 0.663 0.250
0.837 0.663 0.750
0.000 0.000 0.000
0.500 0.500 0.500
0.000 0.000 0.307
0.000 0.000 0.693
0.141 0.683 0.000
0.183 0.641 0.500
0.317 0.141 0.000
0.359 0.183 0.500
0.500 0.500 0.193
0.500 0.500 0.807
0.641 0.817 0.500
0.683 0.859 0.000
0.817 0.359 0.500
0.859 0.317 0.000
```